# 1
Starting from a PBE-relaxed structure, the X-ray diffraction stick pattern of Nb8As2C3N3 was calculated for Cu Kα, 1.54184 Å.

Principal peaks in the range 15 to 90 degrees two-theta, low angle first:
2.756 Å, rel. 252
2.698 Å, rel. 261
2.497 Å, rel. 272
2.372 Å, rel. 749
2.283 Å, rel. 223
2.243 Å, rel. 1000
1.662 Å, rel. 169
1.603 Å, rel. 463
1.312 Å, rel. 227
1.304 Å, rel. 163

abc: 3.2063 3.2063 22.8304
angles: 90.00 90.00 120.00
Element x y z (fractional)
Nb 0.0000 0.0000 0.1652
Nb 0.0000 0.0000 0.3350
Nb 0.0000 0.0000 0.6650
Nb 0.0000 0.0000 0.8348
Nb 0.3333 0.6667 0.0585
Nb 0.3333 0.6667 0.4457
Nb 0.6667 0.3333 0.5543
Nb 0.6667 0.3333 0.9415
As 0.3333 0.6667 0.2519
As 0.6667 0.3333 0.7481
C 0.0000 0.0000 0.0000
C 0.3333 0.6667 0.8862
C 0.6667 0.3333 0.1138
N 0.0000 0.0000 0.5000
N 0.3333 0.6667 0.6103
N 0.6667 0.3333 0.3897

# 2
Starting from a PBE-relaxed structure, the X-ray diffraction stick pattern of Ta3AsCN was calculated for Cu Kα, 1.54184 Å.

Principal peaks in the range 15 to 90 degrees two-theta, low angle first:
2.934 Å, rel. 138
2.737 Å, rel. 457
2.642 Å, rel. 131
2.345 Å, rel. 1000
2.201 Å, rel. 179
2.177 Å, rel. 444
1.599 Å, rel. 347
1.598 Å, rel. 176
1.321 Å, rel. 163
1.294 Å, rel. 201

abc: 3.1988 3.1988 17.6063
angles: 90.00 90.00 120.00
Element x y z (fractional)
Ta 0.0000 0.0000 0.0000
Ta 0.0000 0.0000 0.5000
Ta 0.3333 0.6667 0.1400
Ta 0.3333 0.6667 0.3576
Ta 0.6667 0.3333 0.6424
Ta 0.6667 0.3333 0.8600
As 0.0000 0.0000 0.2470
As 0.0000 0.0000 0.7530
C 0.3333 0.6667 0.5734
C 0.6667 0.3333 0.4266
N 0.3333 0.6667 0.9310
N 0.6667 0.3333 0.0690

# 3
Starting from a PBE-relaxed structure, the X-ray diffraction stick pattern of Zr3AsCN was calculated for Cu Kα, 1.54184 Å.

Principal peaks in the range 15 to 90 degrees two-theta, low angle first:
2.917 Å, rel. 320
2.465 Å, rel. 1000
2.278 Å, rel. 343
2.233 Å, rel. 139
1.782 Å, rel. 74
1.707 Å, rel. 338
1.648 Å, rel. 126
1.403 Å, rel. 162
1.356 Å, rel. 167
1.329 Å, rel. 72

abc: 3.4142 3.4142 17.8604
angles: 90.00 90.00 120.00
Element x y z (fractional)
Zr 0.0000 0.0000 0.0000
Zr 0.0000 0.0000 0.5000
Zr 0.3333 0.6667 0.1395
Zr 0.3333 0.6667 0.3560
Zr 0.6667 0.3333 0.6440
Zr 0.6667 0.3333 0.8605
As 0.0000 0.0000 0.2460
As 0.0000 0.0000 0.7540
C 0.3333 0.6667 0.5774
C 0.6667 0.3333 0.4226
N 0.3333 0.6667 0.9266
N 0.6667 0.3333 0.0734

# 4
Starting from a PBE-relaxed structure, the X-ray diffraction stick pattern of NbNiAsC was calculated for Cu Kα, 1.54184 Å.

Principal peaks in the range 15 to 90 degrees two-theta, low angle first:
2.819 Å, rel. 300
2.523 Å, rel. 119
2.258 Å, rel. 1000
1.997 Å, rel. 69
1.886 Å, rel. 71
1.628 Å, rel. 288
1.568 Å, rel. 78
1.403 Å, rel. 49
1.321 Å, rel. 215
1.232 Å, rel. 100

abc: 3.2551 3.2551 11.3184
angles: 90.00 90.00 120.00
Element x y z (fractional)
Nb 0.3333 0.6667 0.1051
Nb 0.6667 0.3333 0.8949
Ni 0.3333 0.6667 0.4209
Ni 0.6667 0.3333 0.5791
As 0.3333 0.6667 0.7250
As 0.6667 0.3333 0.2750
C 0.0000 0.0000 0.0000
C 0.0000 0.0000 0.5000

# 5
Starting from a PBE-relaxed structure, the X-ray diffraction stick pattern of NbReAsC was calculated for Cu Kα, 1.54184 Å.

Principal peaks in the range 15 to 90 degrees two-theta, low angle first:
2.896 Å, rel. 279
2.811 Å, rel. 97
2.323 Å, rel. 1000
2.055 Å, rel. 109
1.944 Å, rel. 113
1.672 Å, rel. 261
1.614 Å, rel. 110
1.357 Å, rel. 180
1.268 Å, rel. 168
1.183 Å, rel. 92

abc: 3.3444 3.3444 11.6620
angles: 90.00 90.00 120.00
Element x y z (fractional)
Nb 0.3333 0.6667 0.0967
Nb 0.6667 0.3333 0.9033
Re 0.3333 0.6667 0.4187
Re 0.6667 0.3333 0.5813
As 0.3333 0.6667 0.7376
As 0.6667 0.3333 0.2624
C 0.0000 0.0000 0.0000
C 0.0000 0.0000 0.5000

# 6
Starting from a PBE-relaxed structure, the X-ray diffraction stick pattern of Ta2Nb4As3C3 was calculated for Cu Kα, 1.54184 Å.

Principal peaks in the range 15 to 90 degrees two-theta, low angle first:
4.955 Å, rel. 52
2.888 Å, rel. 268
2.808 Å, rel. 58
2.344 Å, rel. 1000
2.006 Å, rel. 119
1.667 Å, rel. 252
1.647 Å, rel. 113
1.359 Å, rel. 174
1.282 Å, rel. 165
1.213 Å, rel. 93

abc: 5.7767 5.7767 12.4878
angles: 103.38 103.38 59.99
Element x y z (fractional)
Ta 0.0309 0.8616 0.5935
Ta 0.1384 0.9691 0.9065
Ta 0.8616 0.0309 0.0935
Ta 0.9691 0.1384 0.4065
Nb 0.1982 0.3686 0.0946
Nb 0.3053 0.4647 0.4054
Nb 0.3686 0.1982 0.5946
Nb 0.4647 0.3053 0.9054
Nb 0.5353 0.6947 0.0946
Nb 0.6314 0.8018 0.4054
Nb 0.6947 0.5353 0.5946
Nb 0.8018 0.6314 0.9054
As 0.0832 0.2491 0.7494
As 0.2491 0.0832 0.2494
As 0.4161 0.5839 0.7500
As 0.5839 0.4161 0.2500
As 0.7509 0.9168 0.7506
As 0.9168 0.7509 0.2506
C 0.0000 0.5000 0.5000
C 0.1626 0.6750 0.0000
C 0.3250 0.8374 0.5000
C 0.5000 0.0000 0.0000
C 0.6750 0.1626 0.5000
C 0.8374 0.3250 0.0000

# 7
Starting from a PBE-relaxed structure, the X-ray diffraction stick pattern of Sc2Ta4As3C3 was calculated for Cu Kα, 1.54184 Å.

Principal peaks in the range 15 to 90 degrees two-theta, low angle first:
4.957 Å, rel. 122
4.823 Å, rel. 86
2.887 Å, rel. 266
2.810 Å, rel. 72
2.356 Å, rel. 1000
2.038 Å, rel. 123
1.667 Å, rel. 323
1.360 Å, rel. 117
1.290 Å, rel. 167
1.230 Å, rel. 97

abc: 5.7723 5.7723 12.6772
angles: 103.17 103.17 60.08
Element x y z (fractional)
Sc 0.0345 0.8734 0.6023
Sc 0.1266 0.9655 0.8977
Sc 0.8734 0.0345 0.1023
Sc 0.9655 0.1266 0.3977
Ta 0.1975 0.3583 0.0930
Ta 0.2961 0.4760 0.4070
Ta 0.3583 0.1975 0.5930
Ta 0.4760 0.2961 0.9070
Ta 0.5240 0.7039 0.0930
Ta 0.6417 0.8025 0.4070
Ta 0.7039 0.5240 0.5930
Ta 0.8025 0.6417 0.9070
As 0.0839 0.2550 0.7510
As 0.2550 0.0839 0.2510
As 0.4223 0.5777 0.7500
As 0.5777 0.4223 0.2500
As 0.7450 0.9161 0.7490
As 0.9161 0.7450 0.2490
C 0.0000 0.5000 0.5000
C 0.1706 0.6584 0.0000
C 0.3416 0.8294 0.5000
C 0.5000 0.0000 0.0000
C 0.6584 0.1706 0.5000
C 0.8294 0.3416 0.0000